Starting from a crystal structure in Alexandria, relaxed with PBE, the powder diffraction line list of Zr3MnPd12 was computed for Cu Kα (weighted mean of Kα1 and Kα2).
Kinematic intensities with the Lorentz-polarization factor, no thermal factor.

Structural model:
abc: 4.021 4.021 15.956
angles: 90.00 90.00 90.00
Fractional positions:
Zr1 0.000 0.000 0.000
Zr2 0.000 0.000 0.257
Zr3 0.000 0.000 0.743
Mn1 0.000 0.000 0.500
Pd1 0.000 0.500 0.126
Pd2 0.000 0.500 0.378
Pd3 0.000 0.500 0.622
Pd4 0.000 0.500 0.874
Pd5 0.500 0.000 0.126
Pd6 0.500 0.000 0.378
Pd7 0.500 0.000 0.622
Pd8 0.500 0.000 0.874
Pd9 0.500 0.500 0.000
Pd10 0.500 0.500 0.251
Pd11 0.500 0.500 0.500
Pd12 0.500 0.500 0.749

Top 10 peaks for 15 to 90 degrees two-theta, by angle:
22.11 deg, I = 1; 31.60 deg, I = 1; 38.90 deg, I = 100; 45.10 deg, I = 33; 45.48 deg, I = 16; 65.68 deg, I = 10; 65.98 deg, I = 20; 79.05 deg, I = 24; 79.59 deg, I = 11; 83.51 deg, I = 10

Starting from a crystal structure in Alexandria, relaxed with PBE, the powder diffraction line list of CsTlIn2Pb was computed for Cu Kα (weighted mean of Kα1 and Kα2).
Kinematic intensities with the Lorentz-polarization factor, no thermal factor.

Structural model:
abc: 8.594 5.014 9.228
angles: 90.00 96.20 90.00
Fractional positions:
Cs1 0.227 0.250 0.353
Cs2 0.773 0.750 0.647
Tl1 0.331 0.750 0.702
Tl2 0.669 0.250 0.298
In1 0.114 0.250 0.779
In2 0.469 0.250 0.909
In3 0.531 0.750 0.091
In4 0.886 0.750 0.221
Pb1 0.157 0.750 0.009
Pb2 0.843 0.250 0.991

Top 10 peaks for 15 to 90 degrees two-theta, by angle:
23.22 deg, I = 42; 26.34 deg, I = 71; 29.20 deg, I = 26; 29.91 deg, I = 100; 31.88 deg, I = 37; 32.42 deg, I = 73; 35.00 deg, I = 43; 35.12 deg, I = 29; 35.82 deg, I = 55; 48.70 deg, I = 22

Starting from a crystal structure in Alexandria, relaxed with PBE, the powder diffraction line list of Ti7NbPb3 was computed for Cu Kα (weighted mean of Kα1 and Kα2).
Kinematic intensities with the Lorentz-polarization factor, no thermal factor.

Structural model:
abc: 7.164 7.164 7.164
angles: 138.30 104.52 90.15
Fractional positions:
Ti1 0.000 0.000 0.000
Ti2 0.086 0.756 0.330
Ti3 0.300 0.500 0.800
Ti4 0.426 0.756 0.670
Ti5 0.574 0.244 0.330
Ti6 0.700 0.500 0.200
Ti7 0.914 0.244 0.670
Nb1 0.000 0.500 0.500
Pb1 0.272 0.272 0.000
Pb2 0.500 0.000 0.500
Pb3 0.728 0.728 0.000

Top 10 peaks for 15 to 90 degrees two-theta, by angle:
20.25 deg, I = 54; 26.82 deg, I = 92; 35.20 deg, I = 46; 35.48 deg, I = 46; 38.00 deg, I = 23; 39.76 deg, I = 100; 41.19 deg, I = 29; 50.85 deg, I = 28; 55.27 deg, I = 26; 66.23 deg, I = 22

Starting from a crystal structure in Alexandria, relaxed with PBE, the powder diffraction line list of NdDy3Ho6Tm2 was computed for Cu Kα (weighted mean of Kα1 and Kα2).
Kinematic intensities with the Lorentz-polarization factor, no thermal factor.

Structural model:
abc: 6.115 6.115 11.718
angles: 94.96 94.96 119.94
Fractional positions:
Nd1 0.000 0.000 0.000
Dy1 0.167 0.833 0.500
Dy2 0.500 0.500 0.500
Dy3 0.833 0.167 0.500
Ho1 0.084 0.418 0.251
Ho2 0.250 0.250 0.750
Ho3 0.418 0.084 0.251
Ho4 0.582 0.916 0.749
Ho5 0.750 0.750 0.250
Ho6 0.916 0.582 0.749
Tm1 0.333 0.667 0.000
Tm2 0.667 0.333 0.000

Top 10 peaks for 15 to 90 degrees two-theta, by angle:
31.01 deg, I = 100; 35.95 deg, I = 51; 51.76 deg, I = 36; 61.52 deg, I = 14; 61.60 deg, I = 28; 64.63 deg, I = 12; 84.53 deg, I = 13; 84.60 deg, I = 4; 87.23 deg, I = 8; 87.33 deg, I = 8

Starting from a crystal structure in Alexandria, relaxed with PBE, the powder diffraction line list of Pr2TiBePd6 was computed for Cu Kα (weighted mean of Kα1 and Kα2).
Kinematic intensities with the Lorentz-polarization factor, no thermal factor.

Structural model:
abc: 5.914 5.930 7.145
angles: 66.59 66.31 60.39
Fractional positions:
Pr1 0.237 0.239 0.307
Pr2 0.763 0.761 0.693
Ti1 0.500 0.500 0.500
Be1 0.000 0.000 0.000
Pd1 0.230 0.703 0.814
Pd2 0.235 0.232 0.780
Pd3 0.289 0.773 0.192
Pd4 0.711 0.227 0.808
Pd5 0.765 0.768 0.220
Pd6 0.770 0.297 0.186

Top 10 peaks for 15 to 90 degrees two-theta, by angle:
28.17 deg, I = 71; 29.02 deg, I = 15; 35.98 deg, I = 56; 36.16 deg, I = 57; 36.52 deg, I = 57; 37.77 deg, I = 17; 39.72 deg, I = 41; 39.98 deg, I = 100; 53.03 deg, I = 22; 62.35 deg, I = 15

Starting from a crystal structure in Alexandria, relaxed with PBE, the powder diffraction line list of Zn2Cl5O2 was computed for Cu Kα (weighted mean of Kα1 and Kα2).
Kinematic intensities with the Lorentz-polarization factor, no thermal factor.

Structural model:
abc: 12.202 6.686 12.137
angles: 74.59 31.89 73.52
Fractional positions:
Zn1 0.382 0.618 0.441
Zn2 0.618 0.382 0.559
Zn3 0.691 0.809 0.632
Zn4 0.809 0.691 0.868
Cl1 0.069 0.771 0.754
Cl2 0.312 0.352 0.909
Cl3 0.341 0.823 0.938
Cl4 0.352 0.312 0.427
Cl5 0.496 0.844 0.181
Cl6 0.620 0.620 0.380
Cl7 0.771 0.069 0.406
Cl8 0.823 0.341 0.898
Cl9 0.844 0.496 0.479
Cl10 0.870 0.870 0.630
O1 0.031 0.171 0.957
O2 0.171 0.031 0.842
O3 0.293 0.408 0.219
O4 0.408 0.293 0.079

Top 10 peaks for 15 to 90 degrees two-theta, by angle:
15.81 deg, I = 88; 20.08 deg, I = 51; 20.70 deg, I = 42; 23.89 deg, I = 83; 26.68 deg, I = 80; 27.86 deg, I = 60; 30.28 deg, I = 100; 30.60 deg, I = 55; 49.13 deg, I = 48; 49.90 deg, I = 33